# 1
K3Na: computed X-ray diffraction stick pattern (Cu Ka), based on the GGA-PBE geometry in the Materials Project.

Crystal structure
```
K3Na
1.0
9.990 0.000 0.000
0.000 9.990 0.000
0.000 0.000 9.990
K Na
12 4
Cartesian
0.000 0.000 0.000
0.000 4.995 4.995
2.498 2.498 2.498
2.498 2.498 7.493
2.498 7.493 2.498
2.498 7.493 7.493
4.995 0.000 4.995
4.995 4.995 0.000
7.493 2.498 2.498
7.493 2.498 7.493
7.493 7.493 2.498
7.493 7.493 7.493
0.000 0.000 4.995
0.000 4.995 0.000
4.995 0.000 0.000
4.995 4.995 4.995
```

Main lines, by angle (15 to 90 degrees two-theta):
d = 3.532 Å, rel. 100, hkl 2 2 0; d = 2.498 Å, rel. 18, hkl 4 0 0; d = 2.039 Å, rel. 38, hkl 4 2 2; d = 1.766 Å, rel. 11, hkl 4 4 0; d = 1.580 Å, rel. 15, hkl 6 2 0; d = 1.335 Å, rel. 16, hkl 6 4 2; d = 1.177 Å, rel. 8, hkl 8 2 2; d = 1.117 Å, rel. 4, hkl 8 4 0



# 2
Gd3Y13O24: computed X-ray diffraction stick pattern (Cu Ka), based on the GGA-PBE geometry in the Materials Project.

Crystal structure
```
Gd3Y13O24
1.0
9.285 0.000 0.000
-3.095 8.766 0.000
-3.095 -4.383 7.591
Gd Y O
3 13 24
Cartesian
0.000 0.000 0.000
-0.404 3.156 1.650
-0.008 3.292 5.208
-0.203 0.137 3.555
-3.296 2.336 7.346
-0.002 -2.849 5.447
-0.402 0.286 7.099
3.104 1.094 1.404
3.095 -2.177 3.802
2.685 7.525 1.661
2.882 -2.035 7.345
2.899 4.531 3.546
3.100 1.524 5.442
5.776 2.479 3.299
5.784 -0.798 5.688
5.780 5.767 1.906
-1.269 -0.952 5.284
-1.282 2.176 3.634
-3.949 4.520 7.024
0.479 4.543 0.055
0.863 -1.905 3.467
0.876 1.233 1.833
0.337 7.630 1.812
0.616 4.464 3.230
-1.017 2.562 7.128
-0.886 5.372 5.616
0.869 1.080 5.372
0.602 -1.721 7.432
3.437 2.294 3.306
3.568 5.342 1.497
3.436 -0.717 5.528
5.447 1.010 1.566
2.234 3.701 5.584
5.448 -2.001 3.791
5.165 -2.357 7.245
8.009 -0.817 1.754
6.638 3.708 1.489
3.705 2.083 7.585
5.443 1.432 5.289
5.178 4.621 3.875
```

Main lines, by angle (15 to 90 degrees two-theta):
d = 4.380 Å, rel. 15, hkl 1 -2 0; d = 3.098 Å, rel. 100, hkl 1 1 1; d = 2.683 Å, rel. 28, hkl 2 2 -2; d = 2.530 Å, rel. 7, hkl 1 -2 3; d = 2.104 Å, rel. 11, hkl -4 3 1; d = 1.897 Å, rel. 42, hkl 0 4 0; d = 1.618 Å, rel. 30, hkl 1 5 -3; d = 1.582 Å, rel. 7, hkl 2 4 -1



# 3
Ge3Mo5C: computed X-ray diffraction stick pattern (Cu Ka), based on the GGA-PBE geometry in the Materials Project.

Crystal structure
```
Ge3Mo5C
1.0
7.470 0.000 0.000
-3.735 6.469 0.000
0.000 0.000 5.341
Ge Mo C
6 10 2
Cartesian
-1.508 2.611 1.335
-2.227 3.858 4.006
3.015 0.000 1.335
1.508 2.611 4.006
4.454 0.000 4.006
2.227 3.858 1.335
-0.844 1.462 4.006
-2.891 5.007 1.335
1.688 0.000 4.006
0.844 1.462 1.335
0.000 4.313 0.000
0.000 4.313 2.671
3.735 2.156 0.000
3.735 2.156 2.671
5.782 0.000 1.335
2.891 5.007 4.006
0.000 0.000 0.000
0.000 0.000 2.671
```

Main lines, by angle (15 to 90 degrees two-theta):
d = 2.469 Å, rel. 19, hkl 1 0 2; d = 2.445 Å, rel. 34, hkl 2 1 0; d = 2.223 Å, rel. 100, hkl 2 1 1; d = 2.172 Å, rel. 63, hkl 1 1 2; d = 2.156 Å, rel. 25, hkl 3 0 0; d = 1.530 Å, rel. 15, hkl 2 2 2; d = 1.439 Å, rel. 24, hkl 2 1 3; d = 1.164 Å, rel. 19, hkl 5 0 2